This entry pairs a crystal structure of Ti8MnSn2 with its calculated powder XRD pattern. Radiation: copper Kα. Structure: DFT lattice parameters and positions (GGA-PBE).

Cell and atoms:
```
11
Lattice="-2.3394 3.0652 6.6702 2.3394 -3.0652 6.6702 2.3394 3.0652 -6.6702" Properties=species:S:1:pos:R:3 pbc="T T T"
Ti 2.3394 1.5979 -1.6940
Ti 0.0000 0.0000 2.3017
Ti 0.0000 1.5546 0.0000
Ti 2.3394 1.5979 1.6940
Ti 0.0000 1.4673 4.9762
Ti 0.0000 4.5758 0.0000
Ti 0.0000 0.0000 11.0387
Ti 0.0000 1.4673 8.3642
Mn 2.3394 0.0000 0.0000
Sn 2.3394 0.0000 4.1552
Sn 0.0000 3.0652 2.5150
```

Largest 10 diffraction maxima, in order of rising 2θ, 15 to 90 degrees two-theta:
2theta  Rel. int.
23.9  17.9
24.7  16.3
32.1  16.1
38.5  32.7
38.9  28.5
40.6  100.0
63.5  8.9
71.1  15.8
73.9  10.2
76.8  10.2